Calculated XRD peak list of Pa2TaCo3Si4 for Cu Kα (λ = 1.5418 Å), from DFT lattice parameters and positions (PBE).
Lines closer than 0.1° are merged.

Largest 6 diffraction maxima, in order of rising 2θ, 2θ from 15° to 90°:
24.30 deg, 3.662 Å, intensity 55; 34.84 deg, 2.575 Å, intensity 60; 36.86 deg, 2.438 Å, intensity 100; 46.30 deg, 1.961 Å, intensity 40; 59.23 deg, 1.560 Å, intensity 26; 79.52 deg, 1.205 Å, intensity 22

Cell and atoms:
```
Pa2TaCo3Si4
1.0
3.9218 0.0000 0.0000
0.0000 3.9218 0.0000
0.0000 0.0000 10.2410
Pa Ta Co Si
2 1 3 4
Direct
0.0000 0.5000 0.2307
0.5000 0.0000 0.7693
0.0000 0.0000 0.5000
0.0000 0.5000 0.8785
0.5000 0.0000 0.1215
0.5000 0.5000 0.5000
0.0000 0.0000 0.0000
0.0000 0.5000 0.6565
0.5000 0.0000 0.3435
0.5000 0.5000 0.0000
```



Calculated XRD peak list of Ce8PuAu2 for Cu Kα (λ = 1.5418 Å), from DFT lattice parameters and positions (PBE).
Lines closer than 0.1° are merged.

Largest 6 diffraction maxima, in order of rising 2θ, 2θ from 15° to 90°:
31.70 deg, 2.822 Å, intensity 55; 31.98 deg, 2.799 Å, intensity 100; 32.17 deg, 2.783 Å, intensity 47; 35.01 deg, 2.563 Å, intensity 84; 35.36 deg, 2.538 Å, intensity 82; 40.60 deg, 2.222 Å, intensity 38

Cell and atoms:
```
Ce8PuAu2
1.0
6.0817 0.0000 0.0000
-0.2376 7.1550 0.0000
-2.0702 -1.8703 6.6440
Ce Pu Au
8 1 2
Direct
0.1143 0.1612 0.4666
0.1421 0.1760 0.9509
0.2735 0.6364 0.8590
0.2891 0.6272 0.3370
0.7109 0.3728 0.6630
0.7265 0.3636 0.1410
0.8579 0.8240 0.0491
0.8857 0.8388 0.5334
0.0000 0.5000 0.0000
0.4985 0.9696 0.7272
0.5015 0.0304 0.2728
```



Calculated XRD peak list of Pu2Pd3Pt for Cu Kα (λ = 1.5418 Å), from DFT lattice parameters and positions (PBE).
Lines closer than 0.1° are merged.

Largest 6 diffraction maxima, in order of rising 2θ, 2θ from 15° to 90°:
32.79 deg, 2.731 Å, intensity 23; 32.95 deg, 2.718 Å, intensity 46; 38.63 deg, 2.331 Å, intensity 38; 38.79 deg, 2.322 Å, intensity 100; 40.62 deg, 2.221 Å, intensity 22; 62.75 deg, 1.481 Å, intensity 20

Cell and atoms:
```
Pu2Pd3Pt
1.0
2.7181 1.5693 4.4716
-2.7181 1.5693 4.4716
0.0000 -3.1385 4.4716
Pu Pd Pt
2 3 1
Direct
0.1259 0.1259 0.1259
0.8741 0.8741 0.8741
0.0000 0.5000 0.5000
0.5000 0.0000 0.5000
0.5000 0.5000 0.0000
0.5000 0.5000 0.5000
```